Entry 1:
For Cs2ThSi6O15, a cell relaxed with GGA-PBE gives the theoretical PXRD pattern in this record (Cu Kα X-rays).
Neutral-atom scattering factors, no anomalous dispersion.

Cell and atoms:
abc: 7.431 16.820 13.729
angles: 90.00 90.00 90.00
Space group Cmc2_1 (No. 36)
Unique sites:
Cs 0.000 0.112 0.000 x4
Cs 0.000 0.232 0.307 x4
Th 0.000 0.371 0.652 x4
Si 0.000 0.360 0.926 x4
Si 0.000 0.455 0.399 x4
Si 0.206 0.186 0.580 x8
Si 0.215 0.043 0.727 x8
O 0.000 0.051 0.754 x4
O 0.000 0.163 0.545 x4
O 0.000 0.337 0.813 x4
O 0.000 0.390 0.485 x4
O 0.000 0.456 0.946 x4
O 0.178 0.320 0.979 x8
O 0.182 0.443 0.332 x8
O 0.219 0.274 0.625 x8
O 0.226 0.380 0.159 x8
O 0.233 0.460 0.677 x8

Main lines, in order of falling intensity (2θ = 5–70°):
2theta  intensity
23.43  100.0
27.03  73.9
12.34  60.0
20.88  55.2
29.15  42.5
24.83  33.5
22.11  29.6
29.87  27.6
23.73  27.5
34.77  26.8

Entry 2:
For Cs2TiSi6O15, a cell relaxed with GGA-PBE gives the theoretical PXRD pattern in this record (Cu Kα X-rays).
Neutral-atom scattering factors, no anomalous dispersion.

Cell and atoms:
abc: 13.183 7.639 15.463
angles: 90.00 105.77 90.00
Space group Cc (No. 9)
Unique sites:
Cs 0.000 0.128 0.000 x4
Cs 0.024 0.363 0.325 x4
Ti 0.280 0.260 0.919 x4
Si 0.060 0.164 0.759 x4
Si 0.222 0.432 0.558 x4
Si 0.242 0.066 0.268 x4
Si 0.292 0.032 0.581 x4
Si 0.326 0.445 0.262 x4
Si 0.494 0.118 0.072 x4
O 0.040 0.278 0.667 x4
O 0.096 0.474 0.547 x4
O 0.112 0.026 0.242 x4
O 0.134 0.266 0.844 x4
O 0.235 0.220 0.549 x4
O 0.238 0.120 0.011 x4
O 0.251 0.281 0.278 x4
O 0.259 0.472 0.980 x4
O 0.286 0.008 0.183 x4
O 0.290 0.492 0.658 x4
O 0.303 0.037 0.857 x4
O 0.328 0.399 0.832 x4
O 0.420 0.048 0.589 x4
O 0.431 0.242 0.992 x4
O 0.448 0.371 0.281 x4

Main lines, in order of falling intensity (2θ = 5–70°):
2theta  intensity
23.96  100.0
28.15  59.1
24.06  54.2
26.41  52.8
24.19  44.8
27.07  41.4
38.63  31.4
28.75  28.5
25.83  27.3
29.23  23.8

Entry 3:
For Cs2TiSi6O15, a cell relaxed with GGA-PBE gives the theoretical PXRD pattern in this record (Cu Kα X-rays).
Neutral-atom scattering factors, no anomalous dispersion.

Cell and atoms:
abc: 13.655 7.519 15.352
angles: 90.00 107.68 90.00
Space group C2/c (No. 15)
Unique sites:
Cs 0.116 0.238 0.404 x8
Ti 0.250 0.250 0.000 x4
Si 0.002 0.284 0.647 x8
Si 0.161 0.014 0.140 x8
Si 0.170 0.402 0.171 x8
O 0.000 0.230 0.750 x4
O 0.064 0.123 0.613 x8
O 0.070 0.468 0.653 x8
O 0.110 0.309 0.923 x8
O 0.120 0.200 0.174 x8
O 0.199 0.044 0.052 x8
O 0.229 0.413 0.096 x8
O 0.245 0.433 0.276 x8

Main lines, in order of falling intensity (2θ = 5–70°):
2theta  intensity
26.00  100.0
28.27  70.3
24.37  55.7
24.02  54.3
23.67  22.4
31.74  22.4
33.98  21.9
27.41  16.7
35.23  16.6
49.56  15.9